(1)
# CdInRu
Computed powder diffraction line list, Cu Kα, 1.54184 Å. Input: a structure optimized by DFT (PBE).
Lines closer than 0.1° are merged.

Structure:
```
data_CdInRu
_cell_length_a 4.3248
_cell_length_b 5.1540
_cell_length_c 5.9625
_cell_angle_alpha 88.76
_cell_angle_beta 89.94
_cell_angle_gamma 65.65
_space_group_name_H-M_alt 'P 1'
_space_group_IT_number 1
loop_
_space_group_symop_operation_xyz
'x,y,z'
loop_
_atom_site_label
_atom_site_fract_x
_atom_site_fract_y
_atom_site_fract_z
_atom_site_occupancy
Cd1 0.1564 0.1882 0.4080 1
Cd2 0.8436 0.8118 0.5920 1
In1 0.4631 0.5822 0.2362 1
In2 0.5369 0.4178 0.7638 1
Ru1 0.2536 0.9904 0.8993 1
Ru2 0.7464 0.0096 0.1007 1
```

The 6 most intense peaks (5° ≤ 2θ ≤ 70°), in order of rising 2θ:
- 35.28 deg, I 77
- 35.54 deg, I 26
- 38.01 deg, I 64
- 38.16 deg, I 100
- 38.43 deg, I 43
- 41.73 deg, I 100

***

(2)
# Nd3MnAlS7
Computed powder diffraction line list, Cu Kα, 1.54184 Å. Input: a structure optimized by DFT (PBE).
Lines closer than 0.1° are merged.

Structure:
```
data_Nd3MnAlS7
_cell_length_a 9.9868
_cell_length_b 9.9868
_cell_length_c 6.2163
_cell_angle_alpha 90.00
_cell_angle_beta 90.00
_cell_angle_gamma 120.00
_space_group_name_H-M_alt 'P 1'
_space_group_IT_number 1
loop_
_space_group_symop_operation_xyz
'x,y,z'
loop_
_atom_site_label
_atom_site_fract_x
_atom_site_fract_y
_atom_site_fract_z
_atom_site_occupancy
Nd1 0.1494 0.3777 0.0000 1
Nd2 0.2283 0.8506 0.0000 1
Nd3 0.3777 0.2283 0.5000 1
Nd4 0.6223 0.7717 0.0000 1
Nd5 0.7717 0.1494 0.5000 1
Nd6 0.8506 0.6223 0.5000 1
Mn1 0.0000 0.0000 0.2995 1
Mn2 0.0000 0.0000 0.7995 1
Al1 0.3333 0.6667 0.4216 1
Al2 0.6667 0.3333 0.9216 1
S1 0.0965 0.5756 0.2730 1
S2 0.0976 0.2385 0.5735 1
S3 0.1409 0.9024 0.5735 1
S4 0.2385 0.1409 0.0735 1
S5 0.3333 0.6667 0.7826 1
S6 0.4244 0.5210 0.2730 1
S7 0.4790 0.9035 0.2730 1
S8 0.5210 0.0965 0.7730 1
S9 0.5756 0.4790 0.7730 1
S10 0.6667 0.3333 0.2826 1
S11 0.7615 0.8591 0.5735 1
S12 0.8591 0.0976 0.0735 1
S13 0.9024 0.7615 0.0735 1
S14 0.9035 0.4244 0.7730 1
```

The 6 most intense peaks (5° ≤ 2θ ≤ 70°), in order of rising 2θ:
- 17.57 deg, I 48
- 25.09 deg, I 100
- 27.28 deg, I 39
- 34.29 deg, I 44
- 35.57 deg, I 45
- 35.97 deg, I 38

***

(3)
# Ba4Os6ClO18
Computed powder diffraction line list, Cu Kα, 1.54184 Å. Input: a structure optimized by DFT (PBE).
Lines closer than 0.1° are merged.

Structure:
```
data_Ba4Os6ClO18
_cell_length_a 8.2131
_cell_length_b 8.2131
_cell_length_c 8.2131
_cell_angle_alpha 109.47
_cell_angle_beta 109.47
_cell_angle_gamma 109.47
_space_group_name_H-M_alt 'P 1'
_space_group_IT_number 1
loop_
_space_group_symop_operation_xyz
'x,y,z'
loop_
_atom_site_label
_atom_site_fract_x
_atom_site_fract_y
_atom_site_fract_z
_atom_site_occupancy
Ba1 0.0000 0.0000 0.3707 1
Ba2 0.0000 0.3707 0.0000 1
Ba3 0.3707 0.0000 0.0000 1
Ba4 0.6293 0.6293 0.6293 1
Os1 0.1344 0.5000 0.6344 1
Os2 0.3656 0.8656 0.5000 1
Os3 0.5000 0.3656 0.8656 1
Os4 0.5000 0.6344 0.1344 1
Os5 0.6344 0.1344 0.5000 1
Os6 0.8656 0.5000 0.3656 1
Cl1 0.0000 0.0000 0.0000 1
O1 0.0000 0.3386 0.3386 1
O2 0.0000 0.6614 0.6614 1
O3 0.0691 0.6972 0.3478 1
O4 0.2787 0.6281 0.9309 1
O5 0.3028 0.3719 0.6506 1
O6 0.3386 0.0000 0.3386 1
O7 0.3386 0.3386 0.0000 1
O8 0.3478 0.0691 0.6972 1
O9 0.3494 0.7213 0.6522 1
O10 0.3719 0.6506 0.3028 1
O11 0.6281 0.9309 0.2787 1
O12 0.6506 0.3028 0.3719 1
O13 0.6522 0.3494 0.7213 1
O14 0.6614 0.0000 0.6614 1
O15 0.6614 0.6614 0.0000 1
O16 0.6972 0.3478 0.0691 1
O17 0.7213 0.6522 0.3494 1
O18 0.9309 0.2787 0.6281 1
```

The 6 most intense peaks (5° ≤ 2θ ≤ 70°), in order of rising 2θ:
- 13.20 deg, I 57
- 22.97 deg, I 37
- 29.79 deg, I 100
- 35.41 deg, I 71
- 48.97 deg, I 62
- 58.38 deg, I 36

***

(4)
# ZrGe2Au
Computed powder diffraction line list, Cu Kα, 1.54184 Å. Input: a structure optimized by DFT (PBE).
Lines closer than 0.1° are merged.

Structure:
```
data_ZrGe2Au
_cell_length_a 3.9466
_cell_length_b 3.9466
_cell_length_c 9.5007
_cell_angle_alpha 90.00
_cell_angle_beta 90.00
_cell_angle_gamma 90.00
_space_group_name_H-M_alt 'P 1'
_space_group_IT_number 1
loop_
_space_group_symop_operation_xyz
'x,y,z'
loop_
_atom_site_label
_atom_site_fract_x
_atom_site_fract_y
_atom_site_fract_z
_atom_site_occupancy
Zr1 0.2500 0.2500 0.2288 1
Zr2 0.7500 0.7500 0.7712 1
Ge1 0.2500 0.2500 0.7087 1
Ge2 0.2500 0.7500 0.0000 1
Ge3 0.7500 0.2500 0.0000 1
Ge4 0.7500 0.7500 0.2913 1
Au1 0.2500 0.7500 0.5000 1
Au2 0.7500 0.2500 0.5000 1
```

The 6 most intense peaks (5° ≤ 2θ ≤ 70°), in order of rising 2θ:
- 9.31 deg, I 53
- 37.37 deg, I 100
- 37.88 deg, I 20
- 45.99 deg, I 29
- 61.05 deg, I 20
- 68.08 deg, I 11

***

(5)
# La3TlIr
Computed powder diffraction line list, Cu Kα, 1.54184 Å. Input: a structure optimized by DFT (PBE).
Lines closer than 0.1° are merged.

Structure:
```
data_La3TlIr
_cell_length_a 6.8784
_cell_length_b 6.8784
_cell_length_c 9.4302
_cell_angle_alpha 92.08
_cell_angle_beta 92.08
_cell_angle_gamma 41.31
_space_group_name_H-M_alt 'P 1'
_space_group_IT_number 1
loop_
_space_group_symop_operation_xyz
'x,y,z'
loop_
_atom_site_label
_atom_site_fract_x
_atom_site_fract_y
_atom_site_fract_z
_atom_site_occupancy
La1 0.0494 0.0494 0.3602 1
La2 0.2540 0.2540 0.6648 1
La3 0.4221 0.4221 0.1560 1
La4 0.5779 0.5779 0.8440 1
La5 0.7460 0.7460 0.3352 1
La6 0.9506 0.9506 0.6398 1
Tl1 0.1599 0.1599 0.0497 1
Tl2 0.8401 0.8401 0.9503 1
Ir1 0.3917 0.3917 0.4376 1
Ir2 0.6083 0.6083 0.5624 1
```

The 6 most intense peaks (5° ≤ 2θ ≤ 70°), in order of rising 2θ:
- 29.63 deg, I 100
- 33.11 deg, I 22
- 33.29 deg, I 15
- 34.50 deg, I 50
- 37.05 deg, I 34
- 50.54 deg, I 15

***

(6)
# CaPmPr6Tm2
Computed powder diffraction line list, Cu Kα, 1.54184 Å. Input: a structure optimized by DFT (PBE).
Lines closer than 0.1° are merged.

Structure:
```
data_CaPmPr6Tm2
_cell_length_a 9.0728
_cell_length_b 9.0728
_cell_length_c 9.8326
_cell_angle_alpha 93.52
_cell_angle_beta 93.52
_cell_angle_gamma 117.55
_space_group_name_H-M_alt 'P 1'
_space_group_IT_number 1
loop_
_space_group_symop_operation_xyz
'x,y,z'
loop_
_atom_site_label
_atom_site_fract_x
_atom_site_fract_y
_atom_site_fract_z
_atom_site_occupancy
Ca1 0.0287 0.9713 0.7500 1
Ca2 0.9713 0.0287 0.2500 1
Pm1 0.4072 0.5928 0.2500 1
Pm2 0.5928 0.4072 0.7500 1
Pr1 0.0162 0.5529 0.6798 1
Pr2 0.1186 0.7545 0.0533 1
Pr3 0.2455 0.8814 0.4467 1
Pr4 0.2942 0.5067 0.8804 1
Pr5 0.4471 0.9838 0.8202 1
Pr6 0.4933 0.7058 0.6196 1
Pr7 0.5067 0.2942 0.3804 1
Pr8 0.5529 0.0162 0.1798 1
Pr9 0.7058 0.4933 0.1196 1
Pr10 0.7545 0.1186 0.5533 1
Pr11 0.8814 0.2455 0.9467 1
Pr12 0.9838 0.4471 0.3202 1
Tm1 0.1982 0.3019 0.5467 1
Tm2 0.3019 0.1982 0.0467 1
Tm3 0.6981 0.8018 0.9533 1
Tm4 0.8018 0.6981 0.4533 1
```

The 6 most intense peaks (5° ≤ 2θ ≤ 70°), in order of rising 2θ:
- 27.64 deg, I 35
- 29.63 deg, I 69
- 29.77 deg, I 50
- 30.31 deg, I 100
- 30.66 deg, I 37
- 32.97 deg, I 60